No. 1
# LiAc4La3
Theoretical powder diffraction line list, copper Kα. Input: a cell relaxed with GGA-PBE.

The 10 most intense peaks (2θ from 10° to 90°), in order of falling intensity:
d/Å	2θ/deg	I/Imax	(hkl)
3.113	28.68	100	2 0 1
2.730	32.81	35	2 2 -1
1.640	56.06	31	4 2 0
2.631	34.08	17	0 0 4
5.268	16.83	15	0 0 2
1.597	57.73	14	2 0 5
1.930	47.08	13	0 4 0
1.895	48.00	13	2 2 3
1.893	48.06	13	2 2 -5
3.860	23.04	11	0 2 0

Structure:
```
data_LiAc4La3
_cell_length_a 7.7193
_cell_length_b 7.7221
_cell_length_c 11.2039
_cell_angle_alpha 90.00
_cell_angle_beta 110.07
_cell_angle_gamma 90.00
_space_group_name_H-M_alt 'C 1 2/m 1'
_space_group_IT_number 12
_space_group_name_Hall '-C 2y'
loop_
_atom_site_label
_atom_site_type_symbol
_atom_site_fract_x
_atom_site_fract_y
_atom_site_fract_z
Li1 Li 0.0000 0.0000 0.0000
Ac1 Ac 0.1269 0.2500 0.7546
La1 La 0.0000 0.5000 0.0000
La2 La 0.2496 0.0000 0.4987
```


No. 2
# Cr4Ni12Pt
Theoretical powder diffraction line list, copper Kα. Input: a cell relaxed with GGA-PBE.

The 10 most intense peaks (2θ from 10° to 90°), in order of falling intensity:
d/Å	2θ/deg	I/Imax	(hkl)
1.881	48.39	100	4 0 0
2.172	41.58	89	2 2 2
2.011	45.08	82	3 2 1
2.380	37.81	52	3 1 0
1.604	57.44	47	3 3 2
3.762	23.65	47	2 0 0
1.330	70.84	45	4 4 0
1.109	88.03	29	6 3 1
1.774	51.53	28	3 3 0
2.660	33.69	25	2 2 0

Structure:
```
data_Cr4Ni12Pt
_cell_length_a 7.5247
_cell_length_b 7.5247
_cell_length_c 7.5247
_cell_angle_alpha 90.00
_cell_angle_beta 90.00
_cell_angle_gamma 90.00
_space_group_name_H-M_alt 'I m -3 m'
_space_group_IT_number 229
_space_group_name_Hall '-I 4 2 3'
loop_
_atom_site_label
_atom_site_type_symbol
_atom_site_fract_x
_atom_site_fract_y
_atom_site_fract_z
Cr1 Cr 0.2500 0.2500 0.2500
Ni1 Ni 0.0000 0.0000 0.3124
Ni2 Ni 0.0000 0.2500 0.5000
Pt1 Pt 0.0000 0.0000 0.0000
```


No. 3
# Tm2P7Ru12
Theoretical powder diffraction line list, copper Kα. Input: a cell relaxed with GGA-PBE.

The 10 most intense peaks (2θ from 10° to 90°), in order of falling intensity:
d/Å	2θ/deg	I/Imax	(hkl)
2.425	37.08	100	2 1 1
1.970	46.07	19	0 0 2
1.776	51.46	16	1 4 0
3.076	29.03	13	2 1 0
1.319	71.53	12	1 4 2
1.208	79.32	11	2 1 3
1.959	46.36	10	1 3 1
2.035	44.53	9	4 0 0
1.433	65.11	8	4 2 1
2.257	39.94	8	3 1 0

Structure:
```
data_Tm2P7Ru12
_cell_length_a 9.3973
_cell_length_b 9.3973
_cell_length_c 3.9402
_cell_angle_alpha 90.00
_cell_angle_beta 90.00
_cell_angle_gamma 120.00
_space_group_name_H-M_alt 'P -6'
_space_group_IT_number 174
_space_group_name_Hall 'P -6'
loop_
_atom_site_label
_atom_site_type_symbol
_atom_site_fract_x
_atom_site_fract_y
_atom_site_fract_z
Tm1 Tm 0.0000 0.0000 0.0000
Tm2 Tm 0.3333 0.6667 0.5000
P1 P 0.0917 0.4491 0.0000
P2 P 0.2662 0.2155 0.5000
P3 P 0.6667 0.3333 0.0000
Ru1 Ru 0.0590 0.2814 0.5000
Ru2 Ru 0.0927 0.6924 0.0000
Ru3 Ru 0.3940 0.1696 0.0000
Ru4 Ru 0.5445 0.4197 0.5000
```